[1]
The following is a computed powder X-ray diffraction pattern of Ca5Zn2Ag5. It was derived from the GGA-PBE geometry in Alexandria, using a wavelength of 1.5418 Å.
Kinematic intensities with the Lorentz-polarization factor, no thermal factor.

Peak list (10 most intense, 10° ≤ 2θ ≤ 90°, by angle)
d_spacing	2θ/deg	intensity
4.244	20.9	54
3.630	24.5	39
2.868	31.2	65
2.740	32.7	27
2.716	33.0	30
2.661	33.7	37
2.433	36.9	26
2.397	37.5	100
2.358	38.2	24
2.270	39.7	52

Crystal structure
a = 15.619 Å, b = 4.540 Å, c = 11.146 Å
α = 90.00°, β = 130.01°, γ = 90.00°
Space group C2/m (No. 12)
Unique sites:
Ca (0.000, 0.000, 0.000) x2
Ca (0.106, 0.000, 0.420) x4
Ca (0.204, 0.000, 0.830) x4
Zn (0.145, 0.500, 0.262) x4
Ag (0.000, 0.500, 0.500) x2
Ag (0.059, 0.500, 0.827) x4
Ag (0.241, 0.500, 0.673) x4

***

[2]
The following is a computed powder X-ray diffraction pattern of RbPu2Te4Pb. It was derived from the GGA-PBE geometry in Alexandria, using a wavelength of 1.5418 Å.
Kinematic intensities with the Lorentz-polarization factor, no thermal factor.

Peak list (10 most intense, 10° ≤ 2θ ≤ 90°, by angle)
d_spacing	2θ/deg	intensity
7.121	12.4	50
3.401	26.2	28
3.213	27.8	100
3.111	28.7	28
2.958	30.2	25
2.824	31.7	21
2.425	37.1	19
2.374	37.9	19
2.362	38.1	44
2.320	38.8	28

Crystal structure
a = 4.640 Å, b = 15.696 Å, c = 16.945 Å
α = 90.00°, β = 90.00°, γ = 90.00°
Space group Cmcm (No. 63)
Unique sites:
Rb (0.000, 0.132, 0.250) x4
Pu (0.000, 0.375, 0.060) x8
Te (0.000, 0.000, 0.000) x4
Te (0.000, 0.262, 0.593) x8
Te (0.000, 0.461, 0.250) x4
Pb (0.000, 0.162, 0.750) x4